Entry 1:
Starting from the GGA-PBE geometry in the Materials Project, the powder diffractogram of TiAlO3 was simulated for Cu Ka.
Intensities are scaled so that the largest is 100.

Largest 8 diffraction maxima, in order of rising 2θ, 15 to 90 degrees two-theta:
hkl  two_theta  d/Å  I_rel
1 0 0  23.04  3.861  56.2
1 1 0  32.81  2.730  100.0
2 0 0  47.08  1.930  74.4
2 1 0  53.04  1.727  16.0
2 1 1  58.56  1.576  37.0
2 2 0  68.77  1.365  39.5
3 1 0  78.31  1.221  15.8
2 2 2  87.53  1.115  12.5

Cell and atoms:
```
data_TiAlO3
_chemical_formula_sum 'Ti1 Al1 O3'
_space_group_name_H-M_alt 'P m -3 m'
_space_group_IT_number 221
_space_group_name_Hall '-P 4 2 3'
_cell_length_a 3.861
_cell_length_b 3.861
_cell_length_c 3.861
_cell_angle_alpha 90.00
_cell_angle_beta 90.00
_cell_angle_gamma 90.00
loop_
_atom_site_label
_atom_site_type_symbol
_atom_site_fract_x
_atom_site_fract_y
_atom_site_fract_z
Ti1 Ti 0.000 0.000 0.000
Al1 Al 0.500 0.500 0.500
O1 O 0.000 0.000 0.500
```

Entry 2:
Starting from the GGA-PBE geometry in the Materials Project, the powder diffractogram of Sr2TbGeO6 was simulated for Cu Ka.
Intensities are scaled so that the largest is 100.

Largest 8 diffraction maxima, in order of rising 2θ, 15 to 90 degrees two-theta:
hkl  two_theta  d/Å  I_rel
1 1 1  18.63  4.762  7.3
2 0 0  21.55  4.124  7.4
2 2 0  30.66  2.916  100.0
4 0 0  43.91  2.062  32.4
4 2 2  54.51  1.683  39.6
4 4 0  63.85  1.458  19.7
6 2 0  72.48  1.304  18.0
6 4 2  88.77  1.102  21.9

Cell and atoms:
```
data_Sr2TbGeO6
_chemical_formula_sum 'Sr8 Tb4 Ge4 O24'
_space_group_name_H-M_alt 'F m -3 m'
_space_group_IT_number 225
_space_group_name_Hall '-F 4 2 3'
_cell_length_a 8.247
_cell_length_b 8.247
_cell_length_c 8.247
_cell_angle_alpha 90.00
_cell_angle_beta 90.00
_cell_angle_gamma 90.00
loop_
_atom_site_label
_atom_site_type_symbol
_atom_site_fract_x
_atom_site_fract_y
_atom_site_fract_z
Sr1 Sr 0.250 0.250 0.250
Tb1 Tb 0.000 0.000 0.000
Ge1 Ge 0.000 0.000 0.500
O1 O 0.000 0.000 0.269
```